Structure and computed powder diffraction line list of Ba2LiTmCu3O7 (the PBE geometry in Alexandria; Cu Kα (λ = 1.5418 Å)).
Kinematic intensities with the Lorentz-polarization factor, no thermal factor.

Main lines, most intense first (2θ = 10–90°):
d_spacing  intensity  hkl
2.901  100  0 1 3
2.750  72  1 1 0
2.502  47  1 0 4
1.944  43  2 0 0
1.615  35  2 1 3
6.536  30  0 0 2
2.325  24  1 1 3
2.170  23  0 1 5
1.535  20  1 2 4
4.357  19  0 0 3

Atomic structure:
abc: 3.886 3.891 13.071
angles: 90.00 90.00 90.00
Positions (direct):
Ba1 0.000 0.000 0.000
Ba2 0.000 0.000 0.311
Li1 0.000 0.500 0.839
Tm1 0.000 0.000 0.594
Cu1 0.500 0.500 0.134
Cu2 0.500 0.500 0.468
Cu3 0.500 0.500 0.704
O1 0.000 0.500 0.132
O2 0.000 0.500 0.488
O3 0.000 0.500 0.700
O4 0.500 0.000 0.481
O5 0.500 0.000 0.693
O6 0.500 0.500 0.279
O7 0.500 0.500 0.962